[1]
This entry pairs a crystal structure of KNaCuAs with its theoretical X-ray diffraction stick pattern. Radiation: Cu Kα X-rays. Structure: the PBE geometry in OQMD.
Neutral-atom scattering factors, no anomalous dispersion.

Structural model:
```
data_KNaCuAs
_space_group_name_H-M_alt 'P 1 21/m 1'
_space_group_IT_number 11
_cell_length_a 5.901
_cell_length_b 5.442
_cell_length_c 6.330
_cell_angle_alpha 90.00
_cell_angle_beta 103.69
_cell_angle_gamma 90.00
loop_
_space_group_symop_operation_xyz
'x,y,z'
'-x,-y,-z'
'-x,y+1/2,-z'
'x,-y+1/2,z'
loop_
_atom_site_label
_atom_site_fract_x
_atom_site_fract_y
_atom_site_fract_z
K1 0.052 0.250 0.188
Na1 0.333 0.750 0.510
Cu1 0.500 0.000 0.000
As1 0.274 0.250 0.725
```

Top 6 peaks for 2θ from 5° to 70°, sorted by position:
2θ (°)	Rel. int.
18.49	100
22.53	55
31.15	60
33.91	66
35.34	45
40.89	63

[2]
This entry pairs a crystal structure of SmHo2Mg3AgHg2 with its theoretical X-ray diffraction stick pattern. Radiation: Cu Kα X-rays. Structure: the PBE geometry in OQMD.
Neutral-atom scattering factors, no anomalous dispersion.

Structural model:
```
data_SmHo2Mg3AgHg2
_space_group_name_H-M_alt 'A m m 2'
_space_group_IT_number 38
_cell_length_a 4.192
_cell_length_b 13.535
_cell_length_c 7.766
_cell_angle_alpha 90.00
_cell_angle_beta 90.00
_cell_angle_gamma 90.00
loop_
_space_group_symop_operation_xyz
'x,y,z'
'-x,-y,z'
'-x,y,z'
'x,-y,z'
'x,y+1/2,z+1/2'
'-x,-y+1/2,z+1/2'
'-x,y+1/2,z+1/2'
'x,-y+1/2,z+1/2'
loop_
_atom_site_label
_atom_site_fract_x
_atom_site_fract_y
_atom_site_fract_z
Sm1 0.000 0.000 0.000
Ho1 0.000 0.205 0.615
Mg1 0.500 0.000 0.655
Mg2 0.500 0.122 0.289
Ag1 0.000 0.000 0.415
Hg1 0.500 0.170 0.910
```

Top 6 peaks for 2θ from 5° to 70°, sorted by position:
2θ (°)	Rel. int.
13.12	30
22.79	33
31.35	100
34.12	92
40.16	27
43.16	23